# LiMg3
Computed XRD peak list, Cu Kα, 1.54184 Å. Input: DFT lattice parameters and positions (GGA-PBE).
Peak positions follow from Bragg's law for the DFT cell and can differ from measured ones.

Principal peaks in the range 10° ≤ 2θ ≤ 90°, by angle:
2θ = 11.92°, intensity 107, hkl 0 0 1; 2θ = 29.03°, intensity 210, hkl 1 0 1; 2θ = 35.94°, intensity 1000, hkl 1 0 2; 2θ = 37.64°, intensity 458, hkl 1 1 0; 2θ = 49.08°, intensity 87, hkl 0 0 4; 2θ = 53.29°, intensity 78, hkl 1 1 3; 2θ = 54.29°, intensity 152, hkl 2 0 0; 2θ = 63.46°, intensity 154, hkl 1 1 4; 2θ = 66.84°, intensity 300, hkl 2 1 2; 2θ = 76.19°, intensity 86, hkl 2 0 4

Structural model:
```
data_LiMg3
_symmetry_space_group_name_H-M 'P 4/m m m'
_symmetry_Int_Tables_number 123
_symmetry_space_group_name_Hall '-P 4 2'
_cell_length_a 3.379
_cell_length_b 3.379
_cell_length_c 7.425
_cell_angle_alpha 90.00
_cell_angle_beta 90.00
_cell_angle_gamma 90.00
loop_
_atom_site_label
_atom_site_type_symbol
_atom_site_fract_x
_atom_site_fract_y
_atom_site_fract_z
Li1 Li 0.000 0.000 0.000
Mg1 Mg 0.000 0.000 0.500
Mg2 Mg 0.500 0.500 0.229
```